Structure and computed powder X-ray diffraction pattern of KZnBH4Cl2 (a cell relaxed with GGA-PBE; Cu Kα, 1.54184 Å).
Neutral-atom scattering factors, no anomalous dispersion.

Structure:
```
data_KZnBH4Cl2
_chemical_formula_sum 'K2 Zn2 B2 H8 Cl4'
_symmetry_space_group_name_H-M 'P 1'
_symmetry_Int_Tables_number 1
_symmetry_space_group_name_Hall 'P 1'
_cell_length_a 6.8798
_cell_length_b 6.1854
_cell_length_c 8.0458
_cell_angle_alpha 90.00
_cell_angle_beta 101.36
_cell_angle_gamma 90.00
loop_
_atom_site_label
_atom_site_type_symbol
_atom_site_fract_x
_atom_site_fract_y
_atom_site_fract_z
K1 K 0.0085 0.2500 0.2538
K2 K 0.9915 0.7500 0.7462
Zn1 Zn 0.4732 0.2500 0.6619
Zn2 Zn 0.5268 0.7500 0.3381
B1 B 0.3037 0.7500 0.1017
B2 B 0.6963 0.2500 0.8983
H1 H 0.1287 0.7500 0.1023
H2 H 0.3593 0.7500 0.9675
H3 H 0.3689 0.5794 0.1773
H4 H 0.3689 0.9206 0.1773
H5 H 0.6311 0.0794 0.8227
H6 H 0.6311 0.4206 0.8227
H7 H 0.6407 0.2500 0.0325
H8 H 0.8713 0.2500 0.8977
Cl1 Cl 0.1478 0.2500 0.6642
Cl2 Cl 0.4621 0.7500 0.6015
Cl3 Cl 0.5379 0.2500 0.3985
Cl4 Cl 0.8522 0.7500 0.3358
```

Largest 12 diffraction maxima, by intensity, 5 to 70 degrees two-theta:
2θ = 11.22°, d 7.888, intensity 100, hkl 0 0 1; 2θ = 28.87°, d 3.093, intensity 74, hkl 0 2 0; 2θ = 21.17°, d 4.196, intensity 64, hkl 1 1 -1; 2θ = 26.43°, d 3.373, intensity 37, hkl 2 0 0; 2θ = 18.92°, d 4.690, intensity 36, hkl 1 0 1; 2θ = 13.13°, d 6.745, intensity 29, hkl 1 0 0; 2θ = 39.53°, d 2.280, intensity 25, hkl 2 2 0; 2θ = 37.13°, d 2.421, intensity 23, hkl 1 1 -3; 2θ = 45.27°, d 2.003, intensity 23, hkl 0 2 3; 2θ = 22.54°, d 3.944, intensity 22, hkl 0 0 2; 2θ = 34.09°, d 2.630, intensity 21, hkl 0 0 3; 2θ = 31.06°, d 2.879, intensity 19, hkl 0 2 1